Simulated PXRD pattern of Mg14SiB for Cu Kα (λ = 1.5418 Å), from a structure optimized by DFT (GGA-PBE).
Intensities are scaled so that the largest is 100.

Crystal structure
```
data_Mg14SiB
_chemical_formula_sum 'Mg14 Si1 B1'
_space_group_name_H-M_alt 'P -6 m 2'
_space_group_IT_number 187
_space_group_name_Hall 'P -6 2'
_cell_length_a 6.1697
_cell_length_b 6.1697
_cell_length_c 10.0244
_cell_angle_alpha 90.00
_cell_angle_beta 90.00
_cell_angle_gamma 120.00
loop_
_atom_site_label
_atom_site_fract_x
_atom_site_fract_y
_atom_site_fract_z
Mg1 0.0000 0.0000 0.2499
Mg2 0.0088 0.5044 0.2452
Mg3 0.3323 0.1662 0.0000
Mg4 0.3334 0.1667 0.5000
Si1 0.3333 0.6667 0.5000
B1 0.3333 0.6667 0.0000
```

Most intense lines, 10° ≤ 2θ ≤ 90°, by angle:
| d [Å] | two_theta | I_rel | index |
| --- | --- | --- | --- |
| 2.672 | 33.54 | 24.2 | 2 0 0 |
| 2.506 | 35.83 | 26.6 | 0 0 4 |
| 2.358 | 38.17 | 100.0 | 2 0 2 |
| 1.828 | 49.89 | 14.9 | 2 0 4 |
| 1.542 | 59.98 | 16.6 | 2 2 0 |
| 1.417 | 65.94 | 18.3 | 2 0 6 |
| 1.314 | 71.87 | 18.6 | 2 2 4 |
| 1.291 | 73.35 | 13.1 | 4 0 2 |
| 1.179 | 81.69 | 3.2 | 4 0 4 |
| 1.134 | 85.62 | 2.8 | 2 0 8 |